Entry 1:
Diffraction record for Ca4NdTe5. The powder diffractogram is theoretical, not measured: it uses a PBE-relaxed structure and Cu Ka.
Neutral-atom scattering factors, no anomalous dispersion.

Peak list (10 most intense, 10 to 90 degrees two-theta, by angle)
two_theta  Rel. int.
24.15  26.6
27.88  46.7
28.00  88.2
39.96  100.0
49.47  36.4
65.26  15.1
65.44  15.2
65.50  14.9
72.46  11.0
72.63  21.9

Structure:
Lattice parameters (Å, degrees): 16.3121 16.3121 16.3121 164.12 164.12 22.53
Element x y z (fractional)
Ca (0.0999, 0.0999, 0.0000)
Ca (0.2996, 0.2996, 0.0000)
Ca (0.7004, 0.7004, 0.0000)
Ca (0.9001, 0.9001, 0.0000)
Nd (0.5000, 0.5000, 0.0000)
Te (0.0000, 0.0000, 0.0000)
Te (0.1997, 0.1997, 0.0000)
Te (0.3997, 0.3997, 0.0000)
Te (0.6003, 0.6003, 0.0000)
Te (0.8003, 0.8003, 0.0000)


Entry 2:
Diffraction record for Ce6InIr4. The powder diffractogram is theoretical, not measured: it uses a PBE-relaxed structure and Cu Ka.
Neutral-atom scattering factors, no anomalous dispersion.

Peak list (10 most intense, 10 to 90 degrees two-theta, by angle)
two_theta  Rel. int.
14.69  31.0
24.18  40.7
28.20  49.7
34.11  40.1
37.32  58.4
37.64  100.0
38.28  37.3
38.92  63.7
57.73  41.9
66.98  25.9

Structure:
Lattice parameters (Å, degrees): 7.3628 7.3628 7.3628 119.35 119.35 91.14
Element x y z (fractional)
Ce (0.0000, 0.5000, 0.5000)
Ce (0.1261, 0.1261, 0.6797)
Ce (0.4465, 0.4465, 0.3203)
Ce (0.5000, 0.0000, 0.5000)
Ce (0.5535, 0.8739, 0.0000)
Ce (0.8739, 0.5535, 0.0000)
In (0.0000, 0.0000, 0.0000)
Ir (0.2390, 0.6178, 0.0000)
Ir (0.3822, 0.3822, 0.6213)
Ir (0.6178, 0.2390, 0.0000)
Ir (0.7610, 0.7610, 0.3787)


Entry 3:
Diffraction record for Zn3Co2C12N12. The powder diffractogram is theoretical, not measured: it uses a PBE-relaxed structure and Cu Ka.
Neutral-atom scattering factors, no anomalous dispersion.

Peak list (10 most intense, 10 to 90 degrees two-theta, by angle)
two_theta  Rel. int.
17.11  100.0
24.29  59.9
34.58  30.2
34.69  14.8
38.82  15.8
42.73  15.8
49.76  20.7
52.97  8.7
56.06  14.0
67.60  10.8

Structure:
Lattice parameters (Å, degrees): 7.3376 7.3376 10.3438 90.00 90.00 90.00
Element x y z (fractional)
Zn (0.0000, 0.0000, 0.0000)
Zn (0.0000, 0.5000, 0.2501)
Zn (0.5000, 0.0000, 0.7499)
Co (0.0000, 0.5000, 0.7465)
Co (0.5000, 0.0000, 0.2535)
C (0.0000, 0.5000, 0.5647)
C (0.0000, 0.5000, 0.9269)
C (0.1789, 0.3179, 0.7507)
C (0.1789, 0.6821, 0.7507)
C (0.3179, 0.1789, 0.2493)
C (0.3179, 0.8211, 0.2493)
C (0.5000, 0.0000, 0.0731)
C (0.5000, 0.0000, 0.4353)
C (0.6821, 0.1789, 0.2493)
C (0.6821, 0.8211, 0.2493)
C (0.8211, 0.3179, 0.7507)
C (0.8211, 0.6821, 0.7507)
N (0.0000, 0.5000, 0.0400)
N (0.0000, 0.5000, 0.4519)
N (0.2024, 0.2883, 0.2410)
N (0.2024, 0.7117, 0.2410)
N (0.2883, 0.2024, 0.7590)
N (0.2883, 0.7976, 0.7590)
N (0.5000, 0.0000, 0.5481)
N (0.5000, 0.0000, 0.9600)
N (0.7117, 0.2024, 0.7590)
N (0.7117, 0.7976, 0.7590)
N (0.7976, 0.2883, 0.2410)
N (0.7976, 0.7117, 0.2410)


Entry 4:
Diffraction record for Nd5Dy4Th2. The powder diffractogram is theoretical, not measured: it uses a PBE-relaxed structure and Cu Ka.
Neutral-atom scattering factors, no anomalous dispersion.

Peak list (10 most intense, 10 to 90 degrees two-theta, by angle)
two_theta  Rel. int.
28.47  36.0
30.51  100.0
30.81  54.9
31.08  98.1
31.42  96.2
31.58  45.3
32.41  47.4
33.66  42.6
34.09  31.2
61.40  33.9

Structure:
Lattice parameters (Å, degrees): 8.9218 3.5244 11.8863 90.00 94.39 90.00
Element x y z (fractional)
Nd (0.0000, 0.0000, 0.0000)
Nd (0.0750, 0.0000, 0.2910)
Nd (0.3082, 0.0000, 0.8366)
Nd (0.6918, 0.0000, 0.1634)
Nd (0.9250, 0.0000, 0.7090)
Dy (0.1983, 0.5000, 0.5467)
Dy (0.3395, 0.5000, 0.1087)
Dy (0.6605, 0.5000, 0.8913)
Dy (0.8017, 0.5000, 0.4533)
Th (0.4599, 0.0000, 0.3674)
Th (0.5401, 0.0000, 0.6326)